# 1
Diffraction record for Th2FeS5. The X-ray powder pattern is theoretical, not measured: it uses the GGA-PBE geometry in the Materials Project and Cu Kα, 1.54184 Å.
Peak positions follow from Bragg's law for the DFT cell and can differ from measured ones.

Largest 12 diffraction maxima, by angle, 2θ from 15° to 90°:
| hkl | two_theta | I (rel.) |
| --- | --- | --- |
| 1 1 1 | 20.00 | 74 |
| 4 0 0 | 23.87 | 21 |
| 3 1 -1 | 24.78 | 100 |
| 2 0 -2 | 26.10 | 20 |
| 3 1 1 | 26.94 | 23 |
| 0 2 0 | 28.05 | 27 |
| 4 0 2 | 36.81 | 39 |
| 4 2 0 | 37.16 | 19 |
| 1 1 -3 | 39.87 | 28 |
| 6 0 -2 | 41.52 | 19 |
| 3 3 -1 | 47.74 | 27 |
| 5 1 3 | 53.82 | 20 |

Cell and atoms:
Cell: 15.023 6.362 7.263 Å, 90.00 97.08 90.00°
Space group C2/c (No. 15)
One atom of each set of equivalent atoms:
Th 0.107 0.218 0.079
Fe 0.250 0.250 0.500
S 0.000 0.081 0.750
S 0.091 0.371 0.432
S 0.221 0.078 0.812

=====

# 2
Diffraction record for Ti2FeS4. The X-ray powder pattern is theoretical, not measured: it uses the GGA-PBE geometry in the Materials Project and Cu Kα, 1.54184 Å.
Peak positions follow from Bragg's law for the DFT cell and can differ from measured ones.

Largest 12 diffraction maxima, by angle, 2θ from 15° to 90°:
| hkl | two_theta | I (rel.) |
| --- | --- | --- |
| 0 0 1 | 16.82 | 34 |
| 2 0 -1 | 16.94 | 22 |
| 2 0 1 | 27.67 | 26 |
| 1 1 -1 | 30.59 | 31 |
| 0 0 2 | 34.02 | 31 |
| 3 1 -1 | 34.51 | 64 |
| 2 0 2 | 43.82 | 30 |
| 6 0 -2 | 44.19 | 100 |
| 5 1 -1 | 44.37 | 52 |
| 3 1 -3 | 53.96 | 53 |
| 0 2 0 | 54.59 | 26 |
| 8 2 0 | 89.93 | 24 |

Cell and atoms:
Cell: 12.851 3.362 5.908 Å, 90.00 116.87 90.00°
Space group C2/m (No. 12)
One atom of each set of equivalent atoms:
Ti 0.245 0.000 0.255
Fe 0.000 0.500 0.500
S 0.119 0.500 0.294
S 0.124 0.000 0.791

=====

# 3
Diffraction record for TlFeS2. The X-ray powder pattern is theoretical, not measured: it uses the GGA-PBE geometry in the Materials Project and Cu Kα, 1.54184 Å.
Peak positions follow from Bragg's law for the DFT cell and can differ from measured ones.

Largest 12 diffraction maxima, by angle, 2θ from 15° to 90°:
| hkl | two_theta | I (rel.) |
| --- | --- | --- |
| 1 0 1 | 25.13 | 77 |
| 0 0 4 | 28.55 | 23 |
| 1 0 3 | 32.37 | 100 |
| 1 1 0 | 34.32 | 24 |
| 1 1 2 | 37.29 | 47 |
| 1 0 5 | 43.70 | 19 |
| 2 0 0 | 49.32 | 21 |
| 2 1 1 | 56.13 | 18 |
| 1 1 6 | 56.47 | 28 |
| 2 0 4 | 57.97 | 13 |
| 2 1 3 | 60.23 | 33 |
| 2 1 5 | 67.98 | 11 |

Cell and atoms:
Cell: 3.696 3.696 12.507 Å, 90.00 90.00 90.00°
Space group I-4m2 (No. 119)
One atom of each set of equivalent atoms:
Tl 0.000 0.000 0.000
Fe 0.000 0.500 0.250
S 0.000 0.000 0.335

=====

# 4
Diffraction record for Tl2FeS2. The X-ray powder pattern is theoretical, not measured: it uses the GGA-PBE geometry in the Materials Project and Cu Kα, 1.54184 Å.
Peak positions follow from Bragg's law for the DFT cell and can differ from measured ones.

Largest 12 diffraction maxima, by angle, 2θ from 15° to 90°:
| hkl | two_theta | I (rel.) |
| --- | --- | --- |
| 1 1 0 | 20.15 | 59 |
| 0 0 2 | 21.98 | 57 |
| 2 0 0 | 28.64 | 100 |
| 1 1 2 | 29.99 | 98 |
| 2 0 2 | 36.39 | 65 |
| 2 2 0 | 40.95 | 38 |
| 2 2 2 | 46.95 | 33 |
| 3 1 2 | 51.58 | 45 |
| 2 0 4 | 54.07 | 33 |
| 2 2 4 | 62.32 | 21 |
| 4 2 2 | 71.61 | 18 |
| 4 2 4 | 84.41 | 19 |

Cell and atoms:
Cell: 6.233 6.233 8.087 Å, 90.00 90.00 90.00°
Space group I4/mmm (No. 139)
One atom of each set of equivalent atoms:
Tl 0.000 0.500 0.250
Fe 0.000 0.000 0.000
S 0.000 0.000 0.263

=====

# 5
Diffraction record for TlFeS2. The X-ray powder pattern is theoretical, not measured: it uses the GGA-PBE geometry in the Materials Project and Cu Kα, 1.54184 Å.
Peak positions follow from Bragg's law for the DFT cell and can differ from measured ones.

Largest 12 diffraction maxima, by angle, 2θ from 15° to 90°:
| hkl | two_theta | I (rel.) |
| --- | --- | --- |
| 1 1 -1 | 21.79 | 100 |
| 2 0 -2 | 26.22 | 53 |
| 1 1 1 | 26.65 | 27 |
| 2 0 1 | 27.10 | 49 |
| 3 1 -1 | 28.56 | 27 |
| 4 0 -1 | 29.88 | 42 |
| 3 1 0 | 30.84 | 96 |
| 1 1 -2 | 31.96 | 74 |
| 1 1 2 | 38.84 | 26 |
| 2 2 0 | 39.24 | 29 |
| 4 2 -2 | 48.96 | 56 |
| 7 1 -2 | 56.82 | 24 |

Cell and atoms:
Cell: 11.969 5.098 6.844 Å, 90.00 117.91 90.00°
Space group C2/m (No. 12)
One atom of each set of equivalent atoms:
Tl 0.183 0.000 0.141
Fe 0.000 0.249 0.500
S 0.040 0.500 0.775
S 0.157 0.000 0.566

=====

# 6
Diffraction record for Tl3Fe2S4. The X-ray powder pattern is theoretical, not measured: it uses the GGA-PBE geometry in the Materials Project and Cu Kα, 1.54184 Å.
Peak positions follow from Bragg's law for the DFT cell and can differ from measured ones.

Largest 12 diffraction maxima, by angle, 2θ from 15° to 90°:
| hkl | two_theta | I (rel.) |
| --- | --- | --- |
| 2 0 0 | 23.78 | 61 |
| 0 1 3 | 25.06 | 39 |
| 2 1 0 | 25.23 | 29 |
| 0 3 1 | 26.33 | 82 |
| 1 0 3 | 26.47 | 80 |
| 2 2 1 | 30.25 | 65 |
| 1 3 2 | 32.10 | 100 |
| 2 0 3 | 33.75 | 28 |
| 2 3 1 | 35.77 | 43 |
| 0 2 4 | 35.97 | 35 |
| 1 1 6 | 50.69 | 25 |
| 1 2 7 | 61.19 | 25 |

Cell and atoms:
Cell: 7.482 10.643 11.309 Å, 90.00 90.00 90.00°
Space group Pnma (No. 62)
One atom of each set of equivalent atoms:
Tl 0.048 0.077 0.137
Tl 0.089 0.250 0.775
Fe 0.034 0.127 0.467
S 0.116 0.750 0.666
S 0.135 0.551 0.383
S 0.234 0.750 0.027

=====

# 7
Diffraction record for U2FeS5. The X-ray powder pattern is theoretical, not measured: it uses the GGA-PBE geometry in the Materials Project and Cu Kα, 1.54184 Å.
Peak positions follow from Bragg's law for the DFT cell and can differ from measured ones.

Largest 12 diffraction maxima, by angle, 2θ from 15° to 90°:
| hkl | two_theta | I (rel.) |
| --- | --- | --- |
| 1 1 1 | 21.10 | 77 |
| 4 0 0 | 24.78 | 25 |
| 3 1 -1 | 25.92 | 100 |
| 2 0 -2 | 27.22 | 22 |
| 3 1 1 | 28.27 | 18 |
| 0 2 0 | 29.83 | 24 |
| 2 2 1 | 35.58 | 20 |
| 5 1 1 | 38.50 | 43 |
| 1 1 -3 | 41.83 | 31 |
| 2 2 2 | 42.95 | 16 |
| 6 0 -2 | 43.11 | 19 |
| 5 1 3 | 56.55 | 19 |

Cell and atoms:
Cell: 14.495 5.991 6.948 Å, 90.00 97.45 90.00°
Space group C2/c (No. 15)
One atom of each set of equivalent atoms:
U 0.109 0.204 0.085
Fe 0.250 0.250 0.500
S 0.000 0.098 0.750
S 0.092 0.383 0.425
S 0.221 0.087 0.809

=====

# 8
Diffraction record for Zn4FeS5. The X-ray powder pattern is theoretical, not measured: it uses the GGA-PBE geometry in the Materials Project and Cu Kα, 1.54184 Å.
Peak positions follow from Bragg's law for the DFT cell and can differ from measured ones.

Largest 11 diffraction maxima, by angle, 2θ from 15° to 90°:
| hkl | two_theta | I (rel.) |
| --- | --- | --- |
| 0 1 5 | 28.44 | 100 |
| 1 0 10 | 32.96 | 11 |
| 1 1 0 | 47.30 | 61 |
| 1 0 25 | 56.12 | 40 |
| 0 2 10 | 58.85 | 3 |
| 2 0 20 | 69.12 | 9 |
| 0 2 25 | 76.32 | 8 |
| 1 2 5 | 76.41 | 8 |
| 2 1 10 | 78.73 | 3 |
| 1 0 40 | 87.92 | 5 |
| 3 0 0 | 88.05 | 14 |

Cell and atoms:
Cell: 3.8418 3.8418 47.1249 Å, 90.00 90.00 120.00°
Space group R3m (No. 160, hexagonal axes)
One atom of each set of equivalent atoms:
Zn 0.0000 0.0000 0.0000
Zn 0.0000 0.0000 0.2000
Zn 0.0000 0.0000 0.4000
Zn 0.0000 0.0000 0.6000
Fe 0.0000 0.0000 0.8000
S 0.0000 0.0000 0.1499
S 0.0000 0.0000 0.3500
S 0.0000 0.0000 0.5500
S 0.0000 0.0000 0.7503
S 0.0000 0.0000 0.9500

=====

# 9
Diffraction record for ZnFe2S4. The X-ray powder pattern is theoretical, not measured: it uses the GGA-PBE geometry in the Materials Project and Cu Kα, 1.54184 Å.
Peak positions follow from Bragg's law for the DFT cell and can differ from measured ones.

Largest 12 diffraction maxima, by angle, 2θ from 15° to 90°:
| hkl | two_theta | I (rel.) |
| --- | --- | --- |
| 1 1 1 | 15.85 | 14 |
| 2 2 0 | 26.03 | 41 |
| 3 1 1 | 30.62 | 100 |
| 4 0 0 | 37.14 | 39 |
| 4 2 2 | 45.92 | 14 |
| 5 1 1 | 48.88 | 55 |
| 4 4 0 | 53.54 | 81 |
| 5 3 3 | 62.95 | 12 |
| 6 4 2 | 73.14 | 9 |
| 5 5 3 | 75.41 | 17 |
| 8 0 0 | 79.13 | 11 |
| 5 5 5 | 87.19 | 13 |

Cell and atoms:
Cell: 9.682 9.682 9.682 Å, 90.00 90.00 90.00°
Space group Fd-3m (No. 227, origin choice 2)
One atom of each set of equivalent atoms:
Zn 0.125 0.125 0.125
Fe 0.000 0.000 0.500
S 0.014 0.014 0.736

=====

# 10
Diffraction record for ZnFe2S5. The X-ray powder pattern is theoretical, not measured: it uses the GGA-PBE geometry in the Materials Project and Cu Kα, 1.54184 Å.
Peak positions follow from Bragg's law for the DFT cell and can differ from measured ones.

Largest 12 diffraction maxima, by angle, 2θ from 15° to 90°:
| hkl | two_theta | I (rel.) |
| --- | --- | --- |
| 0 2 1 | 19.96 | 100 |
| 1 0 1 | 28.66 | 52 |
| 1 1 1 | 29.44 | 53 |
| 0 0 2 | 30.17 | 43 |
| 1 3 0 | 31.53 | 30 |
| 0 5 1 | 36.64 | 24 |
| 1 2 2 | 41.44 | 52 |
| 1 5 0 | 41.62 | 34 |
| 1 3 2 | 44.20 | 25 |
| 2 0 0 | 49.81 | 36 |
| 1 0 3 | 52.66 | 33 |
| 1 7 1 | 56.19 | 40 |

Cell and atoms:
Cell: 3.661 13.471 5.925 Å, 90.00 90.00 90.00°
Space group Pmmn (No. 59, origin choice 2)
One atom of each set of equivalent atoms:
Zn 0.250 0.250 0.055
Fe 0.250 0.605 0.434
S 0.250 0.060 0.388
S 0.250 0.642 0.094
S 0.250 0.750 0.599

=====

# 11
Diffraction record for Fe3Sb. The X-ray powder pattern is theoretical, not measured: it uses the GGA-PBE geometry in the Materials Project and Cu Kα, 1.54184 Å.
Peak positions follow from Bragg's law for the DFT cell and can differ from measured ones.

Largest 12 diffraction maxima, by angle, 2θ from 15° to 90°:
| hkl | two_theta | I (rel.) |
| --- | --- | --- |
| 1 0 1 | 27.75 | 21 |
| 1 1 0 | 32.60 | 8 |
| 2 0 0 | 37.82 | 25 |
| 0 0 2 | 41.42 | 26 |
| 2 0 1 | 43.33 | 100 |
| 2 1 0 | 50.77 | 5 |
| 2 0 2 | 57.33 | 14 |
| 2 2 0 | 68.29 | 15 |
| 3 1 1 | 75.24 | 4 |
| 2 0 3 | 76.87 | 17 |
| 2 2 2 | 83.12 | 17 |
| 4 0 1 | 84.42 | 12 |

Cell and atoms:
Cell: 5.4938 5.4938 4.3595 Å, 90.00 90.00 120.00°
Space group P6_3/mmc (No. 194)
One atom of each set of equivalent atoms:
Fe 0.1522 0.3045 0.2500
Sb 0.3333 0.6667 0.7500

=====

# 12
Diffraction record for Fe5Sb4. The X-ray powder pattern is theoretical, not measured: it uses the GGA-PBE geometry in the Materials Project and Cu Kα, 1.54184 Å.
Peak positions follow from Bragg's law for the DFT cell and can differ from measured ones.

Largest 12 diffraction maxima, by angle, 2θ from 15° to 90°:
| hkl | two_theta | I (rel.) |
| --- | --- | --- |
| 1 2 1 | 30.58 | 100 |
| 1 1 2 | 34.33 | 7 |
| 0 4 0 | 35.31 | 8 |
| 1 4 1 | 43.70 | 72 |
| 1 0 3 | 43.82 | 52 |
| 2 0 0 | 44.02 | 28 |
| 2 2 2 | 54.51 | 12 |
| 1 6 1 | 60.46 | 14 |
| 0 4 4 | 63.52 | 7 |
| 2 4 2 | 63.73 | 14 |
| 0 0 6 | 80.37 | 9 |
| 3 0 3 | 80.78 | 15 |

Cell and atoms:
Cell: 4.114 10.169 7.167 Å, 90.00 90.00 90.00°
Space group Imm2 (No. 44)
One atom of each set of equivalent atoms:
Fe 0.000 0.000 0.000
Fe 0.000 0.129 0.338
Fe 0.000 0.380 0.342
Sb 0.000 0.000 0.647
Sb 0.000 0.257 0.008
Sb 0.000 0.500 0.706

=====

# 13
Diffraction record for Fe4Sb3. The X-ray powder pattern is theoretical, not measured: it uses the GGA-PBE geometry in the Materials Project and Cu Kα, 1.54184 Å.
Peak positions follow from Bragg's law for the DFT cell and can differ from measured ones.

Largest 12 diffraction maxima, by angle, 2θ from 15° to 90°:
| hkl | two_theta | I (rel.) |
| --- | --- | --- |
| 0 0 2 | 18.26 | 9 |
| 1 0 0 | 25.28 | 12 |
| 1 0 1 | 26.92 | 25 |
| 1 0 2 | 31.36 | 100 |
| 1 1 0 | 44.54 | 66 |
| 1 0 4 | 45.34 | 63 |
| 2 0 2 | 55.48 | 19 |
| 1 0 6 | 63.18 | 12 |
| 2 0 4 | 65.44 | 20 |
| 2 1 2 | 73.77 | 16 |
| 3 0 0 | 82.05 | 10 |
| 2 1 4 | 82.62 | 20 |

Cell and atoms:
Cell: 4.0687 4.0687 9.7189 Å, 90.00 90.00 120.00°
Space group P-6m2 (No. 187)
One atom of each set of equivalent atoms:
Fe 0.0000 0.0000 0.1230
Fe 0.0000 0.0000 0.3724
Sb 0.3333 0.6667 0.2407
Sb 0.6667 0.3333 0.5000